Structure and calculated powder XRD pattern of U2In3Sn3 (DFT lattice parameters and positions (GGA-PBE); Cu Kα X-rays).

Most intense lines, 15° ≤ 2θ ≤ 90°, in order of falling intensity:
d 2.680, 2θ 33.4, rel. 100; d 2.367, 2θ 38.0, rel. 18; d 2.320, 2θ 38.8, rel. 17; d 2.279, 2θ 39.5, rel. 16; d 1.420, 2θ 65.8, rel. 14; d 1.399, 2θ 66.9, rel. 14; d 1.381, 2θ 67.9, rel. 13; d 1.340, 2θ 70.2, rel. 12; d 1.657, 2θ 55.5, rel. 12; d 1.642, 2θ 56.0, rel. 12

Crystal structure
Cell lengths 4.6402, 4.7339, 9.1149 Å; angles 90.00, 90.00, 90.00 degrees
Fractional coordinates of all 8 atoms:
U 0.0000 0.0000 0.2448
U 0.0000 0.0000 0.7552
In 0.0000 0.5000 0.5000
In 0.5000 0.5000 0.2523
In 0.5000 0.5000 0.7477
Sn 0.0000 0.5000 0.0000
Sn 0.5000 0.0000 0.0000
Sn 0.5000 0.0000 0.5000

***

Structure and calculated powder XRD pattern of GaSeCl (DFT lattice parameters and positions (GGA-PBE); Cu Kα X-rays).

Most intense lines, 15° ≤ 2θ ≤ 90°, in order of falling intensity:
d 3.126, 2θ 28.6, rel. 100; d 2.092, 2θ 43.2, rel. 62; d 3.225, 2θ 27.7, rel. 48; d 1.846, 2θ 49.4, rel. 47; d 3.842, 2θ 23.2, rel. 37; d 2.955, 2θ 30.2, rel. 25; d 3.190, 2θ 28.0, rel. 23; d 1.931, 2θ 47.1, rel. 21; d 2.745, 2θ 32.6, rel. 19; d 1.657, 2θ 55.5, rel. 16

Crystal structure
Cell lengths 5.6611, 15.6932, 3.8611 Å; angles 90.00, 90.00, 90.00 degrees
Fractional coordinates of all 12 atoms:
Ga 0.0272 0.1928 0.0000
Ga 0.4728 0.6928 0.5000
Ga 0.5272 0.3072 0.5000
Ga 0.9728 0.8072 0.0000
Se 0.2443 0.8268 0.5000
Se 0.2557 0.3268 0.0000
Se 0.7443 0.6732 0.0000
Se 0.7557 0.1732 0.5000
Cl 0.2390 0.5825 0.5000
Cl 0.2610 0.0825 0.0000
Cl 0.7390 0.9175 0.0000
Cl 0.7610 0.4175 0.5000

***

Structure and calculated powder XRD pattern of LiSbP2O7 (DFT lattice parameters and positions (GGA-PBE); Cu Kα X-rays).

Most intense lines, 15° ≤ 2θ ≤ 90°, in order of falling intensity:
d 3.359, 2θ 26.5, rel. 100; d 3.095, 2θ 28.8, rel. 63; d 4.254, 2θ 20.9, rel. 63; d 5.654, 2θ 15.7, rel. 56; d 3.162, 2θ 28.2, rel. 35; d 3.332, 2θ 26.8, rel. 34; d 3.145, 2θ 28.4, rel. 33; d 4.915, 2θ 18.0, rel. 31; d 2.999, 2θ 29.8, rel. 31; d 2.412, 2θ 37.3, rel. 30

Crystal structure
Cell lengths 6.8039, 6.8175, 6.8558 Å; angles 79.99, 65.82, 83.92 degrees
Fractional coordinates of all 22 atoms:
Li 0.1091 0.1857 0.4252
Li 0.8909 0.8143 0.5748
Sb 0.3901 0.2986 0.7577
Sb 0.6099 0.7014 0.2423
P 0.1588 0.6125 0.1836
P 0.2788 0.8381 0.7219
P 0.7212 0.1619 0.2781
P 0.8412 0.3875 0.8164
O 0.0727 0.3550 0.6563
O 0.1211 0.9287 0.6278
O 0.1489 0.7091 0.9495
O 0.2399 0.3981 0.1643
O 0.3114 0.7449 0.2175
O 0.4100 0.9888 0.7614
O 0.4443 0.6819 0.5866
O 0.5557 0.3181 0.4134
O 0.5900 0.0112 0.2386
O 0.6886 0.2551 0.7825
O 0.7601 0.6019 0.8357
O 0.8511 0.2909 0.0505
O 0.8789 0.0713 0.3722
O 0.9273 0.6450 0.3437

***

Structure and calculated powder XRD pattern of SrZnSb2 (DFT lattice parameters and positions (GGA-PBE); Cu Kα X-rays).

Most intense lines, 15° ≤ 2θ ≤ 90°, in order of falling intensity:
d 2.769, 2θ 32.3, rel. 100; d 2.222, 2θ 40.6, rel. 23; d 2.128, 2θ 42.5, rel. 22; d 2.243, 2θ 40.2, rel. 21; d 3.519, 2θ 25.3, rel. 20; d 3.540, 2θ 25.2, rel. 18; d 2.048, 2θ 44.2, rel. 17; d 3.045, 2θ 29.3, rel. 16; d 1.578, 2θ 58.5, rel. 16; d 1.460, 2θ 63.8, rel. 13

Crystal structure
Cell lengths 23.0497, 4.4437, 4.4858 Å; angles 90.00, 90.00, 90.00 degrees
Fractional coordinates of all 16 atoms:
Sr 0.1158 0.2500 0.2284
Sr 0.3842 0.7500 0.7284
Sr 0.6158 0.2500 0.2716
Sr 0.8842 0.7500 0.7716
Zn 0.2500 0.2500 0.7249
Zn 0.2500 0.7500 0.2249
Zn 0.7500 0.2500 0.7751
Zn 0.7500 0.7500 0.2751
Sb 0.0011 0.2500 0.7160
Sb 0.1765 0.7500 0.7261
Sb 0.3235 0.2500 0.2261
Sb 0.4989 0.7500 0.2160
Sb 0.5011 0.2500 0.7840
Sb 0.6765 0.7500 0.7739
Sb 0.8235 0.2500 0.2739
Sb 0.9989 0.7500 0.2840

***

Structure and calculated powder XRD pattern of NaCaSb2O7 (DFT lattice parameters and positions (GGA-PBE); Cu Kα X-rays).

Most intense lines, 15° ≤ 2θ ≤ 90°, in order of falling intensity:
d 3.021, 2θ 29.6, rel. 100; d 1.848, 2θ 49.3, rel. 34; d 1.581, 2θ 58.4, rel. 28; d 3.161, 2θ 28.2, rel. 26; d 2.623, 2θ 34.2, rel. 16; d 1.572, 2θ 58.7, rel. 14; d 3.144, 2θ 28.4, rel. 13; d 1.199, 2θ 80.0, rel. 11; d 1.511, 2θ 61.4, rel. 9; d 1.853, 2θ 49.2, rel. 9

Crystal structure
Cell lengths 7.3907, 7.3907, 7.3907 Å; angles 119.81, 119.67, 90.45 degrees
Fractional coordinates of all 22 atoms:
Na 0.5000 0.0000 0.0000
Na 0.5000 0.5000 0.5000
Ca 0.0000 0.0000 0.0000
Ca 0.5000 0.0000 0.5000
Sb 0.0000 0.0000 0.5000
Sb 0.0000 0.5000 0.0000
Sb 0.0000 0.5000 0.5000
Sb 0.5000 0.5000 0.0000
O 0.0701 0.4213 0.2448
O 0.0701 0.8252 0.6488
O 0.0779 0.8279 0.2500
O 0.3234 0.5734 0.7500
O 0.3235 0.1748 0.7448
O 0.3235 0.5787 0.1488
O 0.3682 0.1182 0.2500
O 0.6318 0.8818 0.7500
O 0.6765 0.4213 0.8512
O 0.6765 0.8252 0.2552
O 0.6766 0.4266 0.2500
O 0.9221 0.1721 0.7500
O 0.9299 0.1748 0.3512
O 0.9299 0.5787 0.7552

***

Structure and calculated powder XRD pattern of EuTmB12 (DFT lattice parameters and positions (GGA-PBE); Cu Kα X-rays).

Most intense lines, 15° ≤ 2θ ≤ 90°, in order of falling intensity:
d 2.906, 2θ 30.8, rel. 100; d 4.110, 2θ 21.6, rel. 69; d 1.838, 2θ 49.6, rel. 50; d 2.373, 2θ 37.9, rel. 42; d 1.678, 2θ 54.7, rel. 28; d 1.370, 2θ 68.5, rel. 28; d 2.055, 2θ 44.1, rel. 21; d 1.300, 2θ 72.8, rel. 20; d 1.098, 2θ 89.2, rel. 19; d 1.239, 2θ 76.9, rel. 13

Crystal structure
Cell lengths 5.8131, 5.8131, 4.1083 Å; angles 90.00, 90.00, 90.00 degrees
Fractional coordinates of all 14 atoms:
Eu 0.0000 0.0000 0.0000
Tm 0.5000 0.5000 0.0000
B 0.0000 0.5000 0.1997
B 0.0000 0.5000 0.8003
B 0.1502 0.3499 0.5000
B 0.1502 0.6501 0.5000
B 0.3499 0.1502 0.5000
B 0.3499 0.8498 0.5000
B 0.5000 0.0000 0.1997
B 0.5000 0.0000 0.8003
B 0.6501 0.1502 0.5000
B 0.6501 0.8498 0.5000
B 0.8498 0.3499 0.5000
B 0.8498 0.6501 0.5000

***

Structure and calculated powder XRD pattern of AlSi2O6 (DFT lattice parameters and positions (GGA-PBE); Cu Kα X-rays).

Most intense lines, 15° ≤ 2θ ≤ 90°, in order of falling intensity:
d 5.076, 2θ 17.5, rel. 100; d 4.419, 2θ 20.1, rel. 98; d 5.694, 2θ 15.6, rel. 67; d 4.463, 2θ 19.9, rel. 65; d 2.992, 2θ 29.9, rel. 60; d 3.628, 2θ 24.5, rel. 44; d 3.547, 2θ 25.1, rel. 38; d 3.027, 2θ 29.5, rel. 30; d 5.665, 2θ 15.6, rel. 29; d 4.404, 2θ 20.2, rel. 29

Crystal structure
Cell lengths 9.5635, 9.5791, 9.7138 Å; angles 94.48, 95.05, 94.63 degrees
Fractional coordinates of all 36 atoms:
Al 0.0000 0.0000 0.0000
Al 0.0190 0.7825 0.5524
Al 0.2393 0.5314 0.2292
Al 0.4603 0.7683 0.7675
Si 0.0171 0.3302 0.0077
Si 0.2304 0.0021 0.7662
Si 0.2484 0.3278 0.7910
Si 0.2491 0.5447 0.5582
Si 0.4642 0.5330 0.9958
Si 0.7892 0.5548 0.0086
Si 0.7900 0.7796 0.7840
Si 0.9966 0.7607 0.2216
O 0.0184 0.9011 0.1419
O 0.1050 0.3322 0.8699
O 0.1109 0.6319 0.5567
O 0.1182 0.4003 0.1420
O 0.1280 0.9274 0.6332
O 0.1390 0.6776 0.2255
O 0.1458 0.9992 0.9034
O 0.2281 0.4114 0.6525
O 0.2753 0.4926 0.4009
O 0.2757 0.1668 0.7418
O 0.3695 0.9183 0.7822
O 0.3797 0.6521 0.6298
O 0.3848 0.3987 0.8930
O 0.3864 0.5500 0.1363
O 0.4600 0.6731 0.9137
O 0.6289 0.4997 0.0339
O 0.6329 0.8126 0.7320
O 0.7877 0.6392 0.8701
O 0.8629 0.6563 0.1429
O 0.8640 0.9129 0.8853
O 0.8804 0.7554 0.6536
O 0.8822 0.4221 0.9827
O 0.9627 0.1730 0.0378
O 0.9637 0.8005 0.3800

***

Structure and calculated powder XRD pattern of Zn4Si2O9 (DFT lattice parameters and positions (GGA-PBE); Cu Kα X-rays).

Most intense lines, 15° ≤ 2θ ≤ 90°, in order of falling intensity:
d 3.129, 2θ 28.5, rel. 100; d 2.430, 2θ 37.0, rel. 73; d 5.457, 2θ 16.2, rel. 65; d 3.337, 2θ 26.7, rel. 65; d 4.688, 2θ 18.9, rel. 58; d 2.596, 2θ 34.6, rel. 51; d 4.201, 2θ 21.1, rel. 49; d 2.979, 2θ 30.0, rel. 41; d 1.464, 2θ 63.5, rel. 37; d 2.465, 2θ 36.5, rel. 31

Crystal structure
Cell lengths 7.3600, 7.3600, 7.3600 Å; angles 110.39, 84.28, 138.70 degrees
Fractional coordinates of all 15 atoms:
Zn 0.1595 0.2062 0.3657
Zn 0.1595 0.7938 0.9534
Zn 0.8405 0.2062 0.0466
Zn 0.8405 0.7938 0.6343
Si 0.3435 0.4890 0.8545
Si 0.6346 0.4890 0.1455
O 0.1556 0.1991 0.6332
O 0.1556 0.5224 0.9565
O 0.4056 0.4056 0.0000
O 0.5660 0.1991 0.0435
O 0.5660 0.5224 0.3668
O 0.6360 0.8017 0.8344
O 0.9513 0.2507 0.2994
O 0.9513 0.6519 0.7006
O 0.9673 0.8017 0.1656

***

Structure and calculated powder XRD pattern of Na3La9B8O27 (DFT lattice parameters and positions (GGA-PBE); Cu Kα X-rays).

Most intense lines, 15° ≤ 2θ ≤ 90°, in order of falling intensity:
d 3.127, 2θ 28.5, rel. 100; d 1.992, 2θ 45.5, rel. 43; d 2.584, 2θ 34.7, rel. 40; d 4.475, 2θ 19.8, rel. 39; d 3.984, 2θ 22.3, rel. 26; d 1.669, 2θ 55.0, rel. 20; d 1.577, 2θ 58.5, rel. 19; d 2.237, 2θ 40.3, rel. 18; d 2.186, 2θ 41.3, rel. 13; d 1.964, 2θ 46.2, rel. 12

Crystal structure
Cell lengths 8.9500, 8.9500, 8.7445 Å; angles 90.00, 90.00, 120.00 degrees
Fractional coordinates of all 47 atoms:
Na 0.0000 0.6680 0.0000
Na 0.3320 0.3320 0.0000
Na 0.6680 0.0000 0.0000
La 0.0000 0.3488 0.2341
La 0.0000 0.3488 0.7659
La 0.0000 0.7174 0.5000
La 0.2826 0.2826 0.5000
La 0.3488 0.0000 0.2341
La 0.3488 0.0000 0.7659
La 0.6512 0.6512 0.2341
La 0.6512 0.6512 0.7659
La 0.7174 0.0000 0.5000
B 0.0000 0.0000 0.2099
B 0.0000 0.0000 0.7901
B 0.3333 0.6667 0.0000
B 0.3333 0.6667 0.3238
B 0.3333 0.6667 0.6762
B 0.6667 0.3333 0.0000
B 0.6667 0.3333 0.3238
B 0.6667 0.3333 0.6762
O 0.0000 0.2571 0.5000
O 0.0000 0.8446 0.2122
O 0.0000 0.8446 0.7878
O 0.1554 0.1554 0.2122
O 0.1554 0.1554 0.7878
O 0.1789 0.6656 0.3182
O 0.1789 0.6656 0.6818
O 0.1828 0.5047 0.0000
O 0.2571 0.0000 0.5000
O 0.3220 0.8172 0.0000
O 0.3344 0.5133 0.3182
O 0.3344 0.5133 0.6818
O 0.4867 0.8211 0.3182
O 0.4867 0.8211 0.6818
O 0.4953 0.6780 0.0000
O 0.5047 0.1828 0.0000
O 0.5133 0.3344 0.3182
O 0.5133 0.3344 0.6818
O 0.6656 0.1789 0.3182
O 0.6656 0.1789 0.6818
O 0.6780 0.4953 0.0000
O 0.7429 0.7429 0.5000
O 0.8172 0.3220 0.0000
O 0.8211 0.4867 0.3182
O 0.8211 0.4867 0.6818
O 0.8446 0.0000 0.2122
O 0.8446 0.0000 0.7878

***

Structure and calculated powder XRD pattern of SiO2 (DFT lattice parameters and positions (GGA-PBE); Cu Kα X-rays).

Most intense lines, 15° ≤ 2θ ≤ 90°, in order of falling intensity:
d 4.338, 2θ 20.5, rel. 100; d 3.152, 2θ 28.3, rel. 47; d 3.069, 2θ 29.1, rel. 38; d 5.110, 2θ 17.4, rel. 26; d 2.339, 2θ 38.5, rel. 13; d 2.543, 2θ 35.3, rel. 13; d 1.762, 2θ 51.9, rel. 11; d 2.432, 2θ 37.0, rel. 8; d 2.176, 2θ 41.5, rel. 7; d 2.366, 2θ 38.0, rel. 5

Crystal structure
Cell lengths 7.0592, 7.0592, 7.0592 Å; angles 87.25, 107.91, 137.77 degrees
Fractional coordinates of all 12 atoms:
Si 0.1441 0.1005 0.2446
Si 0.1441 0.3995 0.5436
Si 0.8559 0.6005 0.4564
Si 0.8559 0.8995 0.7554
O 0.0684 0.0684 0.0000
O 0.0684 0.5684 0.5000
O 0.1108 0.2836 0.3272
O 0.4946 0.2762 0.3709
O 0.4946 0.6237 0.7183
O 0.9053 0.1237 0.6291
O 0.9053 0.7762 0.2817
O 0.9564 0.7836 0.6728